For VNi3AsO8, a crystal structure in Alexandria, relaxed with GGA+U gives the theoretical powder diffractogram in this record (Cu Kα (λ = 1.5418 Å)).
Lines closer than 0.1° are merged.

Atomic structure:
```
VNi3AsO8
1.0
5.733 -3.003 0.000
5.733 3.003 0.000
-0.011 0.000 8.314
V Ni As O
2 6 2 16
direct
0.122 0.122 0.382
0.878 0.878 0.618
0.000 0.000 0.000
0.118 0.617 0.247
0.383 0.882 0.753
0.500 0.500 0.500
0.617 0.118 0.247
0.882 0.383 0.753
0.376 0.376 0.883
0.624 0.624 0.117
0.002 0.002 0.755
0.117 0.648 0.497
0.141 0.617 0.999
0.251 0.251 0.272
0.253 0.253 0.765
0.352 0.883 0.503
0.383 0.859 0.001
0.498 0.498 0.750
0.502 0.502 0.250
0.617 0.141 0.999
0.648 0.117 0.497
0.747 0.747 0.235
0.749 0.749 0.728
0.859 0.383 0.001
0.883 0.352 0.503
0.998 0.998 0.245
```

The 10 most intense peaks (10° ≤ 2θ ≤ 80°), sorted by position:
| Position (°2θ) | Rel. int. |
| --- | --- |
| 27.22 | 409 |
| 29.72 | 667 |
| 31.20 | 274 |
| 35.43 | 1000 |
| 36.00 | 545 |
| 36.56 | 258 |
| 43.60 | 338 |
| 43.65 | 209 |
| 58.30 | 207 |
| 63.36 | 633 |